This entry pairs a crystal structure of Hf3ZrGa3 with its calculated X-ray powder pattern. Radiation: CuKα. Structure: a DFT-relaxed cell (GGA-PBE, Alexandria).
No peak broadening, texture or thermal motion is included.

Atomic structure:
Cell lengths 8.0659, 8.0659, 14.6563 Å; angles 90.00, 90.00, 120.00 degrees
Space group R-3 (No. 148, hexagonal axes)
Inequivalent atoms, fractional coordinates:
Hf1 0.0187 0.7854 0.4115 [18 per cell]
Zr1 0.0000 0.0000 0.2350 [6 per cell]
Ga1 0.0484 0.7973 0.9138 [18 per cell]

The 10 most intense peaks (2θ from 15° to 90°), in order of falling intensity:
36.2 deg, I = 100, hkl 1 2 2
42.2 deg, I = 62, hkl 3 -1 4
36.8 deg, I = 32, hkl 0 0 6
61.6 deg, I = 20, hkl 1 2 8
73.2 deg, I = 20, hkl 4 1 6
60.8 deg, I = 19, hkl 4 1 0
28.7 deg, I = 17, hkl 2 -1 3
34.5 deg, I = 11, hkl 2 1 1
74.0 deg, I = 10, hkl 3 -1 10
72.8 deg, I = 9, hkl 6 -2 2

---

This entry pairs a crystal structure of TlIn3Hg9 with its calculated X-ray powder pattern. Radiation: CuKα. Structure: a DFT-relaxed cell (GGA-PBE, Alexandria).
No peak broadening, texture or thermal motion is included.

Atomic structure:
Cell lengths 11.863, 13.627, 8.896 Å; angles 90.00, 90.00, 90.00 degrees
Space group C222_1 (No. 20)
Inequivalent atoms, fractional coordinates:
Tl1 0.000 0.047 0.250 [4 per cell]
In1 0.000 0.344 0.750 [4 per cell]
In2 0.187 0.482 0.174 [8 per cell]
Hg1 0.037 0.307 0.087 [8 per cell]
Hg2 0.099 0.500 0.500 [4 per cell]
Hg3 0.115 0.150 0.575 [8 per cell]
Hg4 0.164 0.117 0.944 [8 per cell]
Hg5 0.231 0.200 0.268 [8 per cell]

The 10 most intense peaks (2θ from 15° to 90°), in order of falling intensity:
30.0 deg, I = 100, hkl 3 3 0
32.9 deg, I = 96, hkl 0 2 3
31.9 deg, I = 55, hkl 2 4 1
31.0 deg, I = 51, hkl 3 1 2
31.6 deg, I = 46, hkl 3 3 1
38.5 deg, I = 44, hkl 3 1 3
34.5 deg, I = 43, hkl 4 2 1
36.4 deg, I = 41, hkl 4 0 2
57.2 deg, I = 28, hkl 5 1 4
31.8 deg, I = 27, hkl 1 1 3

---

This entry pairs a crystal structure of PmInBiPd with its calculated X-ray powder pattern. Radiation: CuKα. Structure: a DFT-relaxed cell (GGA-PBE, Alexandria).
No peak broadening, texture or thermal motion is included.

Atomic structure:
Cell lengths 7.390, 7.390, 7.390 Å; angles 90.00, 90.00, 90.00 degrees
Space group F-43m (No. 216)
Inequivalent atoms, fractional coordinates:
Pm1 0.000 0.000 0.000 [4 per cell]
In1 0.250 0.250 0.250 [4 per cell]
Bi1 0.000 0.000 0.500 [4 per cell]
Pd1 0.250 0.250 0.750 [4 per cell]

The 10 most intense peaks (2θ from 15° to 90°), in order of falling intensity:
34.3 deg, I = 100, hkl 2 2 0
61.5 deg, I = 37, hkl 4 2 2
49.3 deg, I = 18, hkl 4 0 0
82.6 deg, I = 16, hkl 6 2 0
72.3 deg, I = 11, hkl 4 4 0
24.1 deg, I = 6, hkl 2 0 0
55.6 deg, I = 3, hkl 4 2 0
20.8 deg, I = 2, hkl 1 1 1
42.4 deg, I = 2, hkl 2 2 2
40.5 deg, I = 1, hkl 3 1 1

---

This entry pairs a crystal structure of Sr2PmPO8 with its calculated X-ray powder pattern. Radiation: CuKα. Structure: a DFT-relaxed cell (GGA-PBE, Alexandria).
No peak broadening, texture or thermal motion is included.

Atomic structure:
Cell lengths 5.4648, 5.4648, 6.2758 Å; angles 90.00, 90.00, 120.00 degrees
Space group P-3m1 (No. 164)
Inequivalent atoms, fractional coordinates:
Sr1 0.3333 0.6667 0.3733 [2 per cell]
Pm1 0.0000 0.0000 0.0000 [1 per cell]
P1 0.0000 0.0000 0.5000 [1 per cell]
O1 0.1446 0.2892 0.6626 [6 per cell]
O2 0.3333 0.6667 0.0037 [2 per cell]

The 10 most intense peaks (2θ from 15° to 90°), in order of falling intensity:
32.8 deg, I = 100, hkl 1 1 0
23.5 deg, I = 99, hkl 0 1 1
40.8 deg, I = 55, hkl 2 0 1
34.3 deg, I = 54, hkl 1 0 2
48.2 deg, I = 41, hkl 0 2 2
18.7 deg, I = 37, hkl 1 0 0
43.9 deg, I = 32, hkl 1 1 2
53.2 deg, I = 28, hkl 1 2 1
59.5 deg, I = 24, hkl 2 1 2
55.3 deg, I = 22, hkl 1 1 3

---

This entry pairs a crystal structure of ZrZn11Ni with its calculated X-ray powder pattern. Radiation: CuKα. Structure: a DFT-relaxed cell (GGA-PBE, Alexandria).
No peak broadening, texture or thermal motion is included.

Atomic structure:
Cell lengths 5.106, 12.350, 6.633 Å; angles 90.00, 112.48, 90.00 degrees
Space group C2/m (No. 12)
Inequivalent atoms, fractional coordinates:
Zr1 0.000 0.000 0.000 [2 per cell]
Zn1 0.000 0.500 0.500 [2 per cell]
Zn2 0.114 0.395 0.215 [8 per cell]
Zn3 0.162 0.171 0.355 [8 per cell]
Zn4 0.250 0.250 0.000 [4 per cell]
Ni1 0.000 0.000 0.500 [2 per cell]

The 10 most intense peaks (2θ from 15° to 90°), in order of falling intensity:
41.5 deg, I = 100, hkl 0 4 2
41.0 deg, I = 65, hkl 2 2 -2
46.2 deg, I = 46, hkl 2 0 1
35.6 deg, I = 43, hkl 1 3 1
41.3 deg, I = 42, hkl 1 5 0
46.5 deg, I = 23, hkl 0 6 1
75.3 deg, I = 17, hkl 2 6 2
75.4 deg, I = 16, hkl 2 6 -4
35.1 deg, I = 16, hkl 2 0 -1
67.3 deg, I = 13, hkl 3 5 -1

---

This entry pairs a crystal structure of CeTm2Th6 with its calculated X-ray powder pattern. Radiation: CuKα. Structure: a DFT-relaxed cell (GGA-PBE, Alexandria).
No peak broadening, texture or thermal motion is included.

Atomic structure:
Cell lengths 6.107, 10.626, 8.712 Å; angles 90.00, 90.00, 90.00 degrees
Space group C222 (No. 21)
Inequivalent atoms, fractional coordinates:
Ce1 0.000 0.000 0.000 [2 per cell]
Tm1 0.250 0.250 0.667 [4 per cell]
Th1 0.000 0.332 0.000 [4 per cell]
Th2 0.241 0.083 0.331 [8 per cell]

The 10 most intense peaks (2θ from 15° to 90°), in order of falling intensity:
31.0 deg, I = 100, hkl 1 3 1
35.9 deg, I = 68, hkl 2 0 2
30.8 deg, I = 38, hkl 0 0 3
51.5 deg, I = 25, hkl 1 3 4
69.4 deg, I = 15, hkl 2 6 3
52.9 deg, I = 15, hkl 3 3 1
61.2 deg, I = 15, hkl 2 0 5
56.2 deg, I = 12, hkl 3 3 2
60.4 deg, I = 12, hkl 2 6 0
42.9 deg, I = 10, hkl 2 0 3